(1)
SrCoO: simulated powder diffraction line list (λ = 1.5418 Å (Cu Kα)), based on DFT lattice parameters and positions (GGA+U).

The 10 most intense peaks (2θ = 10–90°), low angle first:
- 2θ = 11.83°, rel. 18
- 2θ = 17.33°, rel. 61
- 2θ = 20.57°, rel. 100
- 2θ = 27.02°, rel. 21
- 2θ = 28.10°, rel. 26
- 2θ = 34.20°, rel. 22
- 2θ = 35.08°, rel. 14
- 2θ = 36.02°, rel. 23
- 2θ = 41.00°, rel. 19
- 2θ = 41.84°, rel. 15

Crystal structure
```
data_SrCoO
_chemical_formula_sum 'Sr2 Co2 O2'
_symmetry_space_group_name_H-M 'P 1'
_symmetry_Int_Tables_number 1
_symmetry_space_group_name_Hall 'P 1'
_cell_length_a 8.6366
_cell_length_b 8.6366
_cell_length_c 7.0152
_cell_angle_alpha 90.00
_cell_angle_beta 90.00
_cell_angle_gamma 120.00
loop_
_atom_site_label
_atom_site_fract_x
_atom_site_fract_y
_atom_site_fract_z
Sr1 0.3333 0.6667 0.2500
Sr2 0.6667 0.3333 0.7500
Co1 0.0000 0.0000 0.0000
Co2 0.0000 0.0000 0.5000
O1 0.0000 0.0000 0.2500
O2 0.0000 0.0000 0.7500
```

(2)
Cs3VH8Cl6O4: simulated powder diffraction line list (λ = 1.5418 Å (Cu Kα)), based on DFT lattice parameters and positions (GGA+U).

The 10 most intense peaks (2θ = 10–90°), low angle first:
- 2θ = 11.58°, rel. 21
- 2θ = 20.49°, rel. 100
- 2θ = 27.07°, rel. 34
- 2θ = 29.20°, rel. 29
- 2θ = 29.74°, rel. 91
- 2θ = 29.98°, rel. 20
- 2θ = 31.51°, rel. 19
- 2θ = 36.51°, rel. 32
- 2θ = 42.34°, rel. 24
- 2θ = 44.46°, rel. 19

Crystal structure
```
data_Cs3VH8Cl6O4
_chemical_formula_sum 'Cs3 V1 H8 Cl6 O4'
_symmetry_space_group_name_H-M 'P 1'
_symmetry_Int_Tables_number 1
_symmetry_space_group_name_Hall 'P 1'
_cell_length_a 10.3531
_cell_length_b 10.3531
_cell_length_c 10.3531
_cell_angle_alpha 145.64
_cell_angle_beta 131.80
_cell_angle_gamma 60.53
loop_
_atom_site_label
_atom_site_fract_x
_atom_site_fract_y
_atom_site_fract_z
Cs1 0.0000 0.0000 0.0000
Cs2 0.1871 0.6871 0.5000
Cs3 0.8129 0.3129 0.5000
V1 0.5000 0.5000 0.0000
H1 0.2997 0.0964 0.6024
H2 0.2997 0.6973 0.2033
H3 0.4940 0.0964 0.7967
H4 0.4940 0.6973 0.3976
H5 0.5060 0.3027 0.6024
H6 0.5060 0.9036 0.2033
H7 0.7003 0.3027 0.7967
H8 0.7003 0.9036 0.3976
Cl1 0.0859 0.8429 0.2431
Cl2 0.2154 0.5000 0.7154
Cl3 0.4002 0.1571 0.2431
Cl4 0.5998 0.8429 0.7569
Cl5 0.7846 0.5000 0.2846
Cl6 0.9141 0.1571 0.7569
O1 0.4193 0.1863 0.7670
O2 0.4193 0.6523 0.2330
O3 0.5807 0.3477 0.7670
O4 0.5807 0.8137 0.2330
```

(3)
SrCa3Co4O12: simulated powder diffraction line list (λ = 1.5418 Å (Cu Kα)), based on DFT lattice parameters and positions (GGA+U).

The 10 most intense peaks (2θ = 10–90°), low angle first:
- 2θ = 33.14°, rel. 100
- 2θ = 33.68°, rel. 48
- 2θ = 41.11°, rel. 8
- 2θ = 46.76°, rel. 24
- 2θ = 48.37°, rel. 43
- 2θ = 58.85°, rel. 18
- 2θ = 59.89°, rel. 35
- 2θ = 69.55°, rel. 25
- 2θ = 70.81°, rel. 12
- 2θ = 89.21°, rel. 12

Crystal structure
```
data_SrCa3Co4O12
_chemical_formula_sum 'Sr1 Ca3 Co4 O12'
_symmetry_space_group_name_H-M 'P 1'
_symmetry_Int_Tables_number 1
_symmetry_space_group_name_Hall 'P 1'
_cell_length_a 7.5274
_cell_length_b 7.5274
_cell_length_c 3.8854
_cell_angle_alpha 90.00
_cell_angle_beta 90.00
_cell_angle_gamma 90.00
loop_
_atom_site_label
_atom_site_fract_x
_atom_site_fract_y
_atom_site_fract_z
Sr1 0.0000 0.0000 0.0000
Ca1 0.0000 0.5000 0.0000
Ca2 0.5000 0.0000 0.0000
Ca3 0.5000 0.5000 0.0000
Co1 0.2511 0.2511 0.5000
Co2 0.2511 0.7489 0.5000
Co3 0.7489 0.2511 0.5000
Co4 0.7489 0.7489 0.5000
O1 0.0000 0.2566 0.5000
O2 0.0000 0.7434 0.5000
O3 0.2497 0.5000 0.5000
O4 0.2539 0.2539 0.0000
O5 0.2539 0.7461 0.0000
O6 0.2566 0.0000 0.5000
O7 0.5000 0.2497 0.5000
O8 0.5000 0.7503 0.5000
O9 0.7434 0.0000 0.5000
O10 0.7461 0.2539 0.0000
O11 0.7461 0.7461 0.0000
O12 0.7503 0.5000 0.5000
```

(4)
KMnCl3O2: simulated powder diffraction line list (λ = 1.5418 Å (Cu Kα)), based on DFT lattice parameters and positions (GGA+U).

The 10 most intense peaks (2θ = 10–90°), low angle first:
- 2θ = 14.98°, rel. 59
- 2θ = 16.40°, rel. 34
- 2θ = 16.98°, rel. 60
- 2θ = 20.97°, rel. 100
- 2θ = 29.41°, rel. 25
- 2θ = 30.54°, rel. 27
- 2θ = 32.55°, rel. 23
- 2θ = 35.90°, rel. 46
- 2θ = 39.44°, rel. 29
- 2θ = 42.71°, rel. 23

Crystal structure
```
data_KMnCl3O2
_chemical_formula_sum 'K2 Mn2 Cl6 O4'
_symmetry_space_group_name_H-M 'P 1'
_symmetry_Int_Tables_number 1
_symmetry_space_group_name_Hall 'P 1'
_cell_length_a 6.4761
_cell_length_b 6.7717
_cell_length_c 8.9959
_cell_angle_alpha 107.75
_cell_angle_beta 90.55
_cell_angle_gamma 112.20
loop_
_atom_site_label
_atom_site_fract_x
_atom_site_fract_y
_atom_site_fract_z
K1 0.0649 0.3650 0.2112
K2 0.9351 0.6350 0.7889
Mn1 0.3765 0.0308 0.3173
Mn2 0.6235 0.9692 0.6827
Cl1 0.0121 0.8349 0.1815
Cl2 0.2620 0.8108 0.5191
Cl3 0.4860 0.7448 0.8318
Cl4 0.5140 0.2552 0.1682
Cl5 0.7380 0.1892 0.4809
Cl6 0.9879 0.1651 0.8185
O1 0.2880 0.2276 0.4365
O2 0.4332 0.8077 0.2026
O3 0.5668 0.1923 0.7974
O4 0.7120 0.7724 0.5635
```

(5)
Fe3Br8O16: simulated powder diffraction line list (λ = 1.5418 Å (Cu Kα)), based on DFT lattice parameters and positions (GGA+U).

The 10 most intense peaks (2θ = 10–90°), low angle first:
- 2θ = 20.63°, rel. 25
- 2θ = 22.06°, rel. 24
- 2θ = 23.72°, rel. 57
- 2θ = 27.12°, rel. 33
- 2θ = 27.45°, rel. 100
- 2θ = 28.32°, rel. 24
- 2θ = 29.44°, rel. 62
- 2θ = 30.15°, rel. 29
- 2θ = 31.45°, rel. 34
- 2θ = 57.48°, rel. 26

Crystal structure
```
data_Fe3Br8O16
_chemical_formula_sum 'Fe3 Br8 O16'
_symmetry_space_group_name_H-M 'P 1'
_symmetry_Int_Tables_number 1
_symmetry_space_group_name_Hall 'P 1'
_cell_length_a 6.7127
_cell_length_b 7.6176
_cell_length_c 9.7509
_cell_angle_alpha 88.60
_cell_angle_beta 71.02
_cell_angle_gamma 72.88
loop_
_atom_site_label
_atom_site_fract_x
_atom_site_fract_y
_atom_site_fract_z
Fe1 0.0000 0.0000 0.0000
Fe2 0.0000 0.5000 0.5000
Fe3 0.5000 0.0000 0.5000
Br1 0.0835 0.1205 0.3233
Br2 0.1398 0.3242 0.7804
Br3 0.4121 0.7059 0.0992
Br4 0.4450 0.6676 0.6645
Br5 0.5550 0.3324 0.3355
Br6 0.5879 0.2941 0.9008
Br7 0.8602 0.6758 0.2196
Br8 0.9165 0.8795 0.6767
O1 0.0473 0.6285 0.3185
O2 0.1058 0.8501 0.8204
O3 0.2321 0.0853 0.4651
O4 0.2904 0.9129 0.0367
O5 0.3049 0.4734 0.4772
O6 0.3098 0.3391 0.9724
O7 0.3948 0.1628 0.6815
O8 0.4574 0.3596 0.1950
O9 0.5426 0.6404 0.8050
O10 0.6052 0.8372 0.3185
O11 0.6902 0.6609 0.0276
O12 0.6951 0.5266 0.5228
O13 0.7096 0.0871 0.9633
O14 0.7679 0.9147 0.5349
O15 0.8942 0.1499 0.1796
O16 0.9527 0.3715 0.6815
```

(6)
Na2Mo2O5: simulated powder diffraction line list (λ = 1.5418 Å (Cu Kα)), based on DFT lattice parameters and positions (GGA+U).

The 10 most intense peaks (2θ = 10–90°), low angle first:
- 2θ = 16.47°, rel. 37
- 2θ = 21.89°, rel. 69
- 2θ = 22.22°, rel. 54
- 2θ = 23.54°, rel. 100
- 2θ = 31.05°, rel. 34
- 2θ = 31.72°, rel. 51
- 2θ = 32.38°, rel. 80
- 2θ = 32.61°, rel. 52
- 2θ = 44.64°, rel. 28
- 2θ = 48.21°, rel. 27

Crystal structure
```
data_Na2Mo2O5
_chemical_formula_sum 'Na4 Mo4 O10'
_symmetry_space_group_name_H-M 'P 1'
_symmetry_Int_Tables_number 1
_symmetry_space_group_name_Hall 'P 1'
_cell_length_a 8.5453
_cell_length_b 8.5453
_cell_length_c 5.6420
_cell_angle_alpha 108.98
_cell_angle_beta 108.98
_cell_angle_gamma 124.15
loop_
_atom_site_label
_atom_site_fract_x
_atom_site_fract_y
_atom_site_fract_z
Na1 0.1384 0.8616 0.0000
Na2 0.2726 0.5695 0.9197
Na3 0.5695 0.2726 0.9197
Na4 0.8616 0.1384 0.0000
Mo1 0.2132 0.7171 0.4674
Mo2 0.5555 0.5555 0.4580
Mo3 0.7171 0.2132 0.4674
Mo4 0.8529 0.8529 0.3544
O1 0.1232 0.9068 0.5779
O2 0.3167 0.5417 0.3780
O3 0.4596 0.9678 0.4629
O4 0.4914 0.9399 0.9666
O5 0.5106 0.5106 0.0497
O6 0.5417 0.3167 0.3780
O7 0.8001 0.8001 0.9489
O8 0.9068 0.1232 0.5779
O9 0.9399 0.4914 0.9666
O10 0.9678 0.4596 0.4629
```

(7)
Na2VO3: simulated powder diffraction line list (λ = 1.5418 Å (Cu Kα)), based on DFT lattice parameters and positions (GGA+U).

The 10 most intense peaks (2θ = 10–90°), low angle first:
- 2θ = 17.36°, rel. 77
- 2θ = 18.94°, rel. 33
- 2θ = 23.97°, rel. 25
- 2θ = 33.15°, rel. 25
- 2θ = 33.77°, rel. 69
- 2θ = 36.34°, rel. 100
- 2θ = 46.89°, rel. 60
- 2θ = 48.87°, rel. 15
- 2θ = 56.67°, rel. 22
- 2θ = 69.86°, rel. 17

Crystal structure
```
data_Na2VO3
_chemical_formula_sum 'Na8 V4 O12'
_symmetry_space_group_name_H-M 'P 1'
_symmetry_Int_Tables_number 1
_symmetry_space_group_name_Hall 'P 1'
_cell_length_a 5.4042
_cell_length_b 9.3720
_cell_length_c 6.0942
_cell_angle_alpha 90.00
_cell_angle_beta 90.00
_cell_angle_gamma 90.00
loop_
_atom_site_label
_atom_site_fract_x
_atom_site_fract_y
_atom_site_fract_z
Na1 0.2349 0.0792 0.1045
Na2 0.2349 0.4208 0.1045
Na3 0.2651 0.5792 0.6045
Na4 0.2651 0.9208 0.6045
Na5 0.7349 0.0792 0.3955
Na6 0.7349 0.4208 0.3955
Na7 0.7651 0.5792 0.8955
Na8 0.7651 0.9208 0.8955
V1 0.2219 0.7500 0.1470
V2 0.2781 0.2500 0.6470
V3 0.7219 0.7500 0.3530
V4 0.7781 0.2500 0.8530
O1 0.0112 0.1144 0.7219
O2 0.0112 0.3856 0.7219
O3 0.1523 0.7500 0.8702
O4 0.3477 0.2500 0.3702
O5 0.4888 0.6144 0.2219
O6 0.4888 0.8856 0.2219
O7 0.5112 0.1144 0.7781
O8 0.5112 0.3856 0.7781
O9 0.6523 0.7500 0.6298
O10 0.8477 0.2500 0.1298
O11 0.9888 0.6144 0.2781
O12 0.9888 0.8856 0.2781
```

(8)
NaCaNbWO6: simulated powder diffraction line list (λ = 1.5418 Å (Cu Kα)), based on DFT lattice parameters and positions (GGA+U).

The 10 most intense peaks (2θ = 10–90°), low angle first:
- 2θ = 19.10°, rel. 17
- 2θ = 22.09°, rel. 76
- 2θ = 31.44°, rel. 100
- 2θ = 37.04°, rel. 10
- 2θ = 45.06°, rel. 36
- 2θ = 50.73°, rel. 32
- 2θ = 55.97°, rel. 40
- 2θ = 65.62°, rel. 21
- 2θ = 70.16°, rel. 15
- 2θ = 74.57°, rel. 17

Crystal structure
```
data_NaCaNbWO6
_chemical_formula_sum 'Na1 Ca1 Nb1 W1 O6'
_symmetry_space_group_name_H-M 'P 1'
_symmetry_Int_Tables_number 1
_symmetry_space_group_name_Hall 'P 1'
_cell_length_a 5.6913
_cell_length_b 5.6913
_cell_length_c 5.6913
_cell_angle_alpha 60.00
_cell_angle_beta 60.00
_cell_angle_gamma 60.00
loop_
_atom_site_label
_atom_site_fract_x
_atom_site_fract_y
_atom_site_fract_z
Na1 0.0000 0.0000 0.0000
Ca1 0.5000 0.5000 0.5000
Nb1 0.7500 0.7500 0.7500
W1 0.2500 0.2500 0.2500
O1 0.5008 0.5008 0.9992
O2 0.5008 0.9992 0.5008
O3 0.5008 0.9992 0.9992
O4 0.9992 0.5008 0.5008
O5 0.9992 0.5008 0.9992
O6 0.9992 0.9992 0.5008
```